(1)
Structure and simulated PXRD pattern of CsAsH2S4 (the PBE geometry in Alexandria; CuKα).
Lines closer than 0.1° are merged.

Most intense lines, 15° ≤ 2θ ≤ 90°, most intense first:
2theta	Rel. int.
28.27	100
20.35	58
20.48	28
44.70	27
19.37	25
41.01	23
28.83	18
35.79	16
46.08	14
40.81	14

Structure:
```
data_CsAsH2S4
_chemical_formula_sum 'Cs1 As1 H2 S4'
_symmetry_space_group_name_H-M 'P 1'
_symmetry_Int_Tables_number 1
_symmetry_space_group_name_Hall 'P 1'
_cell_length_a 6.795
_cell_length_b 6.795
_cell_length_c 6.795
_cell_angle_alpha 136.37
_cell_angle_beta 100.68
_cell_angle_gamma 95.21
loop_
_atom_site_label
_atom_site_type_symbol
_atom_site_fract_x
_atom_site_fract_y
_atom_site_fract_z
Cs1 Cs 0.000 0.000 0.000
As1 As 0.500 0.500 0.000
H1 H 0.359 0.859 0.500
H2 H 0.641 0.141 0.500
S1 S 0.221 0.094 0.604
S2 S 0.490 0.617 0.396
S3 S 0.510 0.906 0.127
S4 S 0.779 0.383 0.873
```

(2)
Structure and simulated PXRD pattern of Cs2SnAsH (the PBE geometry in Alexandria; CuKα).
Lines closer than 0.1° are merged.

Most intense lines, 15° ≤ 2θ ≤ 90°, most intense first:
2theta	Rel. int.
25.94	100
24.82	67
28.72	58
33.86	49
32.01	49
26.14	43
24.18	42
32.49	37
49.36	35
49.08	32

Structure:
```
data_Cs2SnAsH
_chemical_formula_sum 'Cs4 Sn2 As2 H2'
_symmetry_space_group_name_H-M 'P 1'
_symmetry_Int_Tables_number 1
_symmetry_space_group_name_Hall 'P 1'
_cell_length_a 7.327
_cell_length_b 4.305
_cell_length_c 11.640
_cell_angle_alpha 90.00
_cell_angle_beta 101.67
_cell_angle_gamma 90.00
loop_
_atom_site_label
_atom_site_type_symbol
_atom_site_fract_x
_atom_site_fract_y
_atom_site_fract_z
Cs1 Cs 0.205 0.250 0.401
Cs2 Cs 0.279 0.750 0.057
Cs3 Cs 0.721 0.250 0.943
Cs4 Cs 0.795 0.750 0.599
Sn1 Sn 0.313 0.750 0.696
Sn2 Sn 0.687 0.250 0.304
As1 As 0.169 0.250 0.797
As2 As 0.831 0.750 0.203
H1 H 0.447 0.250 0.212
H2 H 0.553 0.750 0.788
```

(3)
Structure and simulated PXRD pattern of Cs4Hg2SbAs2 (the PBE geometry in Alexandria; CuKα).
Lines closer than 0.1° are merged.

Most intense lines, 15° ≤ 2θ ≤ 90°, most intense first:
2theta	Rel. int.
25.62	100
27.76	82
30.22	57
34.03	54
23.44	47
32.81	47
47.99	41
47.93	36
19.72	33
38.27	31

Structure:
```
data_Cs4Hg2SbAs2
_chemical_formula_sum 'Cs4 Hg2 Sb1 As2'
_symmetry_space_group_name_H-M 'P 1'
_symmetry_Int_Tables_number 1
_symmetry_space_group_name_Hall 'P 1'
_cell_length_a 9.926
_cell_length_b 9.926
_cell_length_c 9.926
_cell_angle_alpha 152.59
_cell_angle_beta 113.27
_cell_angle_gamma 73.58
loop_
_atom_site_label
_atom_site_type_symbol
_atom_site_fract_x
_atom_site_fract_y
_atom_site_fract_z
Cs1 Cs 0.126 0.877 0.248
Cs2 Cs 0.371 0.123 0.248
Cs3 Cs 0.629 0.877 0.752
Cs4 Cs 0.874 0.123 0.752
Hg1 Hg 0.220 0.720 0.500
Hg2 Hg 0.780 0.280 0.500
Sb1 Sb 0.500 0.500 0.000
As1 As 0.321 0.321 0.000
As2 As 0.679 0.679 0.000
```

(4)
Structure and simulated PXRD pattern of Cs2HgTe4As (the PBE geometry in Alexandria; CuKα).
Lines closer than 0.1° are merged.

Most intense lines, 15° ≤ 2θ ≤ 90°, most intense first:
2theta	Rel. int.
27.30	100
32.32	69
23.80	63
21.85	47
23.06	39
44.01	37
42.31	33
35.38	31
40.93	27
49.42	26

Structure:
```
data_Cs2HgTe4As
_chemical_formula_sum 'Cs4 Hg2 Te8 As2'
_symmetry_space_group_name_H-M 'P 1'
_symmetry_Int_Tables_number 1
_symmetry_space_group_name_Hall 'P 1'
_cell_length_a 15.430
_cell_length_b 13.883
_cell_length_c 8.379
_cell_angle_alpha 83.87
_cell_angle_beta 63.45
_cell_angle_gamma 32.68
loop_
_atom_site_label
_atom_site_type_symbol
_atom_site_fract_x
_atom_site_fract_y
_atom_site_fract_z
Cs1 Cs 0.058 0.058 0.692
Cs2 Cs 0.308 0.308 0.942
Cs3 Cs 0.692 0.692 0.058
Cs4 Cs 0.942 0.942 0.308
Hg1 Hg 0.125 0.125 0.125
Hg2 Hg 0.875 0.875 0.875
Te1 Te 0.009 0.356 0.442
Te2 Te 0.308 0.558 0.644
Te3 Te 0.356 0.009 0.692
Te4 Te 0.442 0.692 0.009
Te5 Te 0.558 0.308 0.991
Te6 Te 0.644 0.991 0.308
Te7 Te 0.692 0.442 0.356
Te8 Te 0.991 0.644 0.558
As1 As 0.375 0.375 0.375
As2 As 0.625 0.625 0.625
```

(5)
Structure and simulated PXRD pattern of CsHgTe4As2 (the PBE geometry in Alexandria; CuKα).
Lines closer than 0.1° are merged.

Most intense lines, 15° ≤ 2θ ≤ 90°, most intense first:
2theta	Rel. int.
23.79	100
23.61	86
38.99	55
30.43	50
44.85	41
50.92	31
30.87	26
33.50	24
35.97	21
47.81	19

Structure:
```
data_CsHgTe4As2
_chemical_formula_sum 'Cs1 Hg1 Te4 As2'
_symmetry_space_group_name_H-M 'P 1'
_symmetry_Int_Tables_number 1
_symmetry_space_group_name_Hall 'P 1'
_cell_length_a 8.087
_cell_length_b 8.087
_cell_length_c 8.087
_cell_angle_alpha 137.41
_cell_angle_beta 103.71
_cell_angle_gamma 91.53
loop_
_atom_site_label
_atom_site_type_symbol
_atom_site_fract_x
_atom_site_fract_y
_atom_site_fract_z
Cs1 Cs 0.000 0.000 0.000
Hg1 Hg 0.500 0.500 0.000
Te1 Te 0.017 0.727 0.290
Te2 Te 0.436 0.727 0.710
Te3 Te 0.564 0.273 0.290
Te4 Te 0.983 0.273 0.710
As1 As 0.363 0.863 0.500
As2 As 0.637 0.137 0.500
```

(6)
Structure and simulated PXRD pattern of CsHoAs2O6 (the PBE geometry in Alexandria; CuKα).
Lines closer than 0.1° are merged.

Most intense lines, 15° ≤ 2θ ≤ 90°, most intense first:
2theta	Rel. int.
26.04	100
27.69	73
29.78	71
31.73	67
29.16	37
48.48	28
18.42	23
45.39	21
56.15	21
39.76	21

Structure:
```
data_CsHoAs2O6
_chemical_formula_sum 'Cs2 Ho2 As4 O12'
_symmetry_space_group_name_H-M 'P 1'
_symmetry_Int_Tables_number 1
_symmetry_space_group_name_Hall 'P 1'
_cell_length_a 7.195
_cell_length_b 7.195
_cell_length_c 6.784
_cell_angle_alpha 102.74
_cell_angle_beta 102.74
_cell_angle_gamma 90.39
loop_
_atom_site_label
_atom_site_type_symbol
_atom_site_fract_x
_atom_site_fract_y
_atom_site_fract_z
Cs1 Cs 0.202 0.798 0.750
Cs2 Cs 0.798 0.202 0.250
Ho1 Ho 0.400 0.600 0.250
Ho2 Ho 0.600 0.400 0.750
As1 As 0.121 0.278 0.804
As2 As 0.278 0.121 0.304
As3 As 0.722 0.879 0.696
As4 As 0.879 0.722 0.196
O1 O 0.089 0.598 0.246
O2 O 0.152 0.169 0.047
O3 O 0.169 0.152 0.547
O4 O 0.323 0.448 0.897
O5 O 0.402 0.911 0.254
O6 O 0.448 0.323 0.397
O7 O 0.552 0.677 0.603
O8 O 0.598 0.089 0.746
O9 O 0.677 0.552 0.103
O10 O 0.831 0.848 0.453
O11 O 0.848 0.831 0.953
O12 O 0.911 0.402 0.754
```